For MgV4O8, DFT lattice parameters and positions (PBE+U) gives the computed powder diffractogram in this record (Cu Kα X-rays).

Largest 10 diffraction maxima, in order of falling intensity, 2θ from 15° to 90°:
18.62 deg, I 100
16.15 deg, I 93
32.63 deg, I 73
35.21 deg, I 69
35.32 deg, I 49
29.16 deg, I 47
36.27 deg, I 45
49.56 deg, I 43
55.44 deg, I 40
65.25 deg, I 39

Structure:
a = 7.380 Å, b = 7.380 Å, c = 9.533 Å
α = 129.55°, β = 129.55°, γ = 23.55°
Element x y z (fractional)
Mg 0.000 0.000 0.000
V 0.019 0.019 0.708
V 0.296 0.296 0.635
V 0.509 0.509 0.365
V 0.811 0.811 0.000
O 0.133 0.133 0.456
O 0.204 0.204 0.912
O 0.455 0.455 0.102
O 0.501 0.501 0.854
O 0.523 0.523 0.579
O 0.812 0.812 0.793
O 0.835 0.835 0.552
O 0.882 0.882 0.240